The following is a simulated powder diffraction line list of Sm5Tl2Co2. It was derived from a cell relaxed with GGA-PBE, using Cu Kα.
Kinematic intensities with the Lorentz-polarization factor, no thermal factor.

Structural model:
```
data_Sm5Tl2Co2
_space_group_name_H-M_alt 'C m c e'
_space_group_IT_number 64
_space_group_name_Hall '-C 2ac 2'
_cell_length_a 16.7554
_cell_length_b 7.5032
_cell_length_c 7.5654
_cell_angle_alpha 90.00
_cell_angle_beta 90.00
_cell_angle_gamma 90.00
loop_
_atom_site_label
_atom_site_type_symbol
_atom_site_fract_x
_atom_site_fract_y
_atom_site_fract_z
_atom_site_occupancy
Sm1 Sm 0.0000 0.0000 0.0000 1
Sm2 Sm 0.1159 0.1816 0.3216 1
Tl1 Tl 0.2251 0.0000 0.0000 1
Co1 Co 0.0000 0.1099 0.6090 1
```

Main lines, in order of rising 2θ (10° ≤ 2θ ≤ 80°):
h k l, two_theta, Rel. int.
5 1 1, 31.5, 54
4 0 2, 31.9, 96
4 2 0, 32.0, 100
0 2 2, 33.6, 71
4 2 1, 34.2, 48
5 3 3, 58.9, 37